Ho2ErFe2Co6Ni: calculated X-ray powder pattern (Cu Kα (weighted mean of Kα1 and Kα2)), based on DFT lattice parameters and positions (GGA-PBE).

```
Ho2ErFe2Co6Ni
1.0
2.481 1.433 8.035
-2.481 1.433 8.035
0.000 -2.865 8.035
Ho Er Fe Co Ni
2 1 2 6 1
Direct
0.140 0.140 0.140
0.860 0.860 0.860
0.000 0.000 0.000
0.334 0.334 0.334
0.666 0.666 0.666
0.080 0.582 0.582
0.418 0.418 0.920
0.418 0.920 0.418
0.582 0.080 0.582
0.582 0.582 0.080
0.920 0.418 0.418
0.500 0.500 0.500
```

Largest 8 diffraction maxima, by angle, 15° ≤ 2θ ≤ 90°:
33.34 deg, d 2.687, intensity 49; 36.20 deg, d 2.481, intensity 53; 36.42 deg, d 2.467, intensity 41; 42.22 deg, d 2.140, intensity 37; 42.83 deg, d 2.112, intensity 100; 63.30 deg, d 1.469, intensity 16; 69.70 deg, d 1.349, intensity 31; 76.84 deg, d 1.241, intensity 20